Structure and simulated powder X-ray diffraction pattern of MgCd4Ag7 (a DFT-relaxed cell (GGA-PBE, Alexandria); Cu Kα (λ = 1.5418 Å)).
Lines closer than 0.1° are merged.

Atomic structure:
Lattice parameters (Å, degrees): 5.849 5.849 10.601 116.44 116.44 51.77
Positions (direct):
Mg (0.000, 0.000, 0.000)
Cd (0.269, 0.269, 0.689)
Cd (0.404, 0.404, 0.226)
Cd (0.596, 0.596, 0.774)
Cd (0.731, 0.731, 0.311)
Ag (0.043, 0.043, 0.374)
Ag (0.206, 0.206, 0.919)
Ag (0.351, 0.351, 0.470)
Ag (0.500, 0.500, 0.000)
Ag (0.649, 0.649, 0.530)
Ag (0.794, 0.794, 0.081)
Ag (0.957, 0.957, 0.626)

Main lines, low angle first (2θ from 10° to 90°):
2theta	d [Å]	I_rel
19.92	4.458	21
35.15	2.553	70
35.50	2.529	66
39.47	2.283	100
39.60	2.276	91
50.82	1.797	45
65.96	1.416	20
74.30	1.277	27